(1)
For Ca2AlSnO5, a PBE-relaxed structure gives the calculated X-ray powder pattern in this record (copper Kα).

Structure:
```
data_Ca2AlSnO5
_cell_length_a 5.697
_cell_length_b 6.089
_cell_length_c 8.448
_cell_angle_alpha 110.71
_cell_angle_beta 108.45
_cell_angle_gamma 91.11
_symmetry_space_group_name_H-M 'P 1'
_symmetry_Int_Tables_number 1
loop_
_symmetry_equiv_pos_as_xyz
'x,y,z'
loop_
_atom_site_label
_atom_site_fract_x
_atom_site_fract_y
_atom_site_fract_z
Ca1 0.000 0.000 0.000
Ca2 0.182 0.320 0.477
Ca3 0.527 0.590 0.003
Ca4 0.757 0.739 0.483
Al1 0.382 0.997 0.749
Al2 0.877 0.327 0.734
Sn1 0.125 0.668 0.245
Sn2 0.601 0.168 0.240
O1 0.195 0.243 0.749
O2 0.210 0.734 0.571
O3 0.296 0.035 0.270
O4 0.425 0.949 0.952
O5 0.450 0.465 0.214
O6 0.688 0.077 0.734
O7 0.767 0.375 0.530
O8 0.783 0.888 0.274
O9 0.876 0.591 0.910
O10 0.903 0.310 0.205
```

Main lines, sorted by position (2θ from 10° to 90°):
h k l	2θ (°)	d [Å]	I (rel.)
0 0 1	11.94	7.414	100
0 2 -1	29.34	3.044	47
2 0 -1	31.41	2.848	52
0 2 0	31.78	2.816	18
1 -1 2	32.02	2.795	38
1 1 1	32.34	2.768	67
1 1 -3	32.68	2.740	35
2 -2 0	43.08	2.100	21
2 2 -2	43.96	2.060	21
0 0 4	49.16	1.853	24

***

(2)
For SrMg6Sb, a PBE-relaxed structure gives the calculated X-ray powder pattern in this record (copper Kα).

Structure:
```
data_SrMg6Sb
_cell_length_a 5.430
_cell_length_b 6.451
_cell_length_c 11.953
_cell_angle_alpha 90.00
_cell_angle_beta 90.00
_cell_angle_gamma 90.00
_symmetry_space_group_name_H-M 'A m m 2'
_symmetry_Int_Tables_number 38
loop_
_symmetry_equiv_pos_as_xyz
'x,y,z'
'-x,-y,z'
'-x,y,z'
'x,-y,z'
'x,y+1/2,z+1/2'
'-x,-y+1/2,z+1/2'
'-x,y+1/2,z+1/2'
'x,-y+1/2,z+1/2'
loop_
_atom_site_label
_atom_site_fract_x
_atom_site_fract_y
_atom_site_fract_z
Sr1 0.000 0.000 0.000
Mg1 0.000 0.248 0.248
Mg2 0.500 0.000 0.172
Mg3 0.500 0.000 0.665
Mg4 0.500 0.242 0.405
Sb1 0.000 0.000 0.491
```

Main lines, sorted by position (2θ from 10° to 90°):
h k l	2θ (°)	d [Å]	I (rel.)
0 0 2	14.82	5.977	45
1 0 0	16.32	5.430	40
1 0 2	22.12	4.019	44
0 2 2	31.52	2.838	35
2 0 0	32.99	2.715	39
1 0 4	34.25	2.618	55
1 2 2	35.69	2.516	100
2 2 2	46.27	1.962	23
3 2 2	60.68	1.526	21
2 2 6	64.85	1.438	20

***

(3)
For LiMgB3H18N2, a PBE-relaxed structure gives the calculated X-ray powder pattern in this record (copper Kα).

Structure:
```
data_LiMgB3H18N2
_cell_length_a 7.6974
_cell_length_b 7.6974
_cell_length_c 7.8484
_cell_angle_alpha 90.00
_cell_angle_beta 90.00
_cell_angle_gamma 120.00
_symmetry_space_group_name_H-M 'P 63'
_symmetry_Int_Tables_number 173
loop_
_symmetry_equiv_pos_as_xyz
'x,y,z'
'x-y,x,z+1/2'
'-y,x-y,z'
'-x,-y,z+1/2'
'-x+y,-x,z'
'y,-x+y,z+1/2'
loop_
_atom_site_label
_atom_site_fract_x
_atom_site_fract_y
_atom_site_fract_z
Li1 0.0000 0.0000 0.0000
Mg1 0.3333 0.6667 0.2693
B1 0.0495 0.7449 0.2630
H1 0.0164 0.2342 0.6273
H2 0.0258 0.5739 0.2637
H3 0.0455 0.2462 0.8846
H4 0.1263 0.3532 0.2770
H5 0.2178 0.5360 0.5895
H6 0.2264 0.5311 0.9488
N1 0.3333 0.6667 0.5400
N2 0.3333 0.6667 0.9984
```

Main lines, sorted by position (2θ from 10° to 90°):
h k l	2θ (°)	d [Å]	I (rel.)
1 0 0	13.28	6.666	50
1 0 1	17.45	5.081	77
1 1 0	23.11	3.849	100
1 1 1	25.78	3.456	38
2 0 0	26.75	3.333	36
1 2 0	35.63	2.520	20
1 0 3	36.91	2.435	43
1 2 1	37.49	2.399	25
3 0 0	40.60	2.222	42
1 2 3	50.28	1.815	22

***

(4)
For LiCa3, a PBE-relaxed structure gives the calculated X-ray powder pattern in this record (copper Kα).

Structure:
```
data_LiCa3
_cell_length_a 5.199
_cell_length_b 5.199
_cell_length_c 11.120
_cell_angle_alpha 90.00
_cell_angle_beta 90.00
_cell_angle_gamma 90.00
_symmetry_space_group_name_H-M 'I 4/m m m'
_symmetry_Int_Tables_number 139
_symmetry_space_group_name_Hall '-I 4 2'
loop_
_atom_site_label
_atom_site_fract_x
_atom_site_fract_y
_atom_site_fract_z
Li1 0.000 0.000 0.000
Ca1 0.000 0.000 0.500
Ca2 0.000 0.500 0.250
```

Main lines, sorted by position (2θ from 10° to 90°):
h k l	2θ (°)	d [Å]	I (rel.)
1 0 1	18.84	4.709	24
1 1 2	29.12	3.066	100
0 0 4	32.20	2.780	19
2 0 0	34.51	2.599	31
2 0 4	47.91	1.899	22
2 2 0	49.60	1.838	10
1 1 6	55.53	1.655	14
3 1 2	58.55	1.576	23
2 2 4	60.37	1.533	11
3 1 6	77.64	1.230	9

***

(5)
For K3YBr6, a PBE-relaxed structure gives the calculated X-ray powder pattern in this record (copper Kα).

Structure:
```
data_K3YBr6
_cell_length_a 11.831
_cell_length_b 11.831
_cell_length_c 11.831
_cell_angle_alpha 90.00
_cell_angle_beta 90.00
_cell_angle_gamma 90.00
_symmetry_space_group_name_H-M 'F m -3 m'
_symmetry_Int_Tables_number 225
_symmetry_space_group_name_Hall '-F 4 2 3'
loop_
_atom_site_label
_atom_site_fract_x
_atom_site_fract_y
_atom_site_fract_z
K1 0.000 0.000 0.000
K2 0.250 0.250 0.250
Y1 0.000 0.000 0.500
Br1 0.000 0.000 0.264
```

Main lines, sorted by position (2θ from 10° to 90°):
h k l	2θ (°)	d [Å]	I (rel.)
1 1 1	12.96	6.830	18
2 0 0	14.98	5.915	53
2 2 2	26.09	3.415	77
4 0 0	30.22	2.958	100
4 2 0	33.89	2.645	26
4 4 0	43.26	2.091	70
6 2 2	51.22	1.784	31
4 4 4	53.68	1.708	23
8 4 0	71.30	1.323	27
8 4 4	79.36	1.207	20